Entry 1:
This entry pairs a crystal structure of Er11Al2Ge8 with its theoretical powder X-ray diffraction pattern. Radiation: CuKα. Structure: a GGA-PBE-relaxed structure.
Kinematic intensities with the Lorentz-polarization factor, no thermal factor.

Structural model:
Lattice parameters (Å, degrees): 10.9500 10.9500 16.1500 90.00 90.00 90.00
Space group I4/mmm (No. 139)
Asymmetric unit:
Er: 0.0000 0.0000 0.1649
Er: 0.0000 0.2519 0.3100
Er: 0.0000 0.3296 0.1019
Er: 0.1761 0.1761 0.5000
Al: 0.1217 0.1217 0.0000
Ge: 0.0000 0.0000 0.3819
Ge: 0.0000 0.3559 0.5000
Ge: 0.0000 0.5000 0.2500
Ge: 0.2060 0.2060 0.1759

Peak list (10 most intense, 10° ≤ 2θ ≤ 90°, by angle)
d/Å	Rel. int.	(hkl)
3.560	26	3 0 1
2.737	40	4 0 0
2.696	100	2 1 5
2.645	86	3 2 3
2.628	28	3 1 4
2.593	32	4 0 2
2.581	56	3 3 0
2.418	39	3 0 5
1.721	20	5 2 5
1.624	25	6 3 1


Entry 2:
This entry pairs a crystal structure of Rb3TlI6 with its theoretical powder X-ray diffraction pattern. Radiation: CuKα. Structure: a GGA-PBE-relaxed structure.
Kinematic intensities with the Lorentz-polarization factor, no thermal factor.

Structural model:
Lattice parameters (Å, degrees): 12.9617 12.9617 12.9617 90.00 90.00 90.00
Space group Fm-3m (No. 225)
Asymmetric unit:
Rb: 0.0000 0.0000 0.0000
Rb: 0.2500 0.2500 0.2500
Tl: 0.0000 0.0000 0.5000
I: 0.0000 0.0000 0.2675

Peak list (10 most intense, 10° ≤ 2θ ≤ 90°, by angle)
d/Å	Rel. int.	(hkl)
7.483	24	1 1 1
6.481	50	2 0 0
3.742	54	2 2 2
3.240	100	4 0 0
2.898	25	4 2 0
2.291	73	4 4 0
1.954	22	6 2 2
1.871	25	4 4 4
1.449	30	8 4 0
1.323	21	8 4 4


Entry 3:
This entry pairs a crystal structure of YMgNi4H4 with its theoretical powder X-ray diffraction pattern. Radiation: CuKα. Structure: a GGA-PBE-relaxed structure.
Kinematic intensities with the Lorentz-polarization factor, no thermal factor.

Structural model:
Lattice parameters (Å, degrees): 7.4125 7.4125 7.4125 90.00 90.00 90.00
Space group F-43m (No. 216)
Asymmetric unit:
Y: 0.0000 0.0000 0.0000
Mg: 0.2500 0.2500 0.7500
Ni: 0.1181 0.1181 0.3819
H: 0.1606 0.1606 0.1606

Peak list (10 most intense, 10° ≤ 2θ ≤ 90°, by angle)
d/Å	Rel. int.	(hkl)
4.280	16	1 1 1
3.706	16	2 0 0
2.621	25	2 2 0
2.235	100	3 1 1
2.140	44	2 2 2
1.513	9	4 2 2
1.427	33	5 1 1
1.310	24	4 4 0
1.130	9	5 3 3
1.117	14	6 2 2


Entry 4:
This entry pairs a crystal structure of Cr3Os with its theoretical powder X-ray diffraction pattern. Radiation: CuKα. Structure: a GGA-PBE-relaxed structure.
Kinematic intensities with the Lorentz-polarization factor, no thermal factor.

Structural model:
Lattice parameters (Å, degrees): 4.6482 4.6482 4.6482 90.00 90.00 90.00
Space group Pm-3n (No. 223)
Asymmetric unit:
Cr: 0.0000 0.2500 0.5000
Os: 0.0000 0.0000 0.0000

Peak list (10 most intense, 10° ≤ 2θ ≤ 90°, by angle)
d/Å	Rel. int.	(hkl)
3.287	70	1 1 0
2.324	46	2 0 0
2.079	26	2 1 0
1.898	100	2 1 1
1.643	10	2 2 0
1.470	15	3 1 0
1.289	5	3 2 0
1.242	49	3 2 1
1.162	10	4 0 0
1.096	10	4 1 1


Entry 5:
This entry pairs a crystal structure of Sr2SnS4 with its theoretical powder X-ray diffraction pattern. Radiation: CuKα. Structure: a GGA-PBE-relaxed structure.
Kinematic intensities with the Lorentz-polarization factor, no thermal factor.

Structural model:
Lattice parameters (Å, degrees): 10.1160 10.5229 7.3228 90.00 90.00 90.00
Space group Ama2 (No. 40)
Asymmetric unit:
Sr: 0.0000 0.0000 0.0000
Sr: 0.2500 0.1889 0.5418
Sn: 0.2500 0.2767 0.0293
S: 0.0565 0.2713 0.8353
S: 0.2500 0.0713 0.1858
S: 0.2500 0.4378 0.2648

Peak list (10 most intense, 10° ≤ 2θ ≤ 90°, by angle)
d/Å	Rel. int.	(hkl)
5.058	24	2 0 0
3.870	40	2 1 1
3.661	21	0 0 2
3.646	32	2 2 0
3.163	47	0 3 1
2.966	19	2 0 2
2.584	100	2 2 2
2.529	31	4 0 0
1.975	22	4 3 1
1.878	24	2 5 1


Entry 6:
This entry pairs a crystal structure of CeBi with its theoretical powder X-ray diffraction pattern. Radiation: CuKα. Structure: a GGA-PBE-relaxed structure.
Kinematic intensities with the Lorentz-polarization factor, no thermal factor.

Structural model:
Lattice parameters (Å, degrees): 3.9471 3.9471 3.9471 90.00 90.00 90.00
Space group Pm-3m (No. 221)
Asymmetric unit:
Ce: 0.0000 0.0000 0.0000
Bi: 0.5000 0.5000 0.5000

Peak list (10 most intense, 10° ≤ 2θ ≤ 90°, by angle)
d/Å	Rel. int.	(hkl)
3.947	4	1 0 0
2.791	100	1 1 0
2.279	2	1 1 1
1.974	19	2 0 0
1.765	2	2 1 0
1.611	39	2 1 1
1.396	12	2 2 0
1.316	1	3 0 0
1.248	17	3 1 0
1.139	4	2 2 2


Entry 7:
This entry pairs a crystal structure of Ba2MgTi2S6 with its theoretical powder X-ray diffraction pattern. Radiation: CuKα. Structure: a GGA-PBE-relaxed structure.
Kinematic intensities with the Lorentz-polarization factor, no thermal factor.

Structural model:
Lattice parameters (Å, degrees): 13.1891 6.9717 5.8691 90.00 101.90 90.00
Space group C2/m (No. 12)
Asymmetric unit:
Ba: 0.2183 0.0000 0.1805
Mg: 0.0000 0.0000 0.5000
Ti: 0.0000 0.5000 0.0000
Ti: 0.0000 0.5000 0.5000
S: 0.0783 0.2497 0.7794
S: 0.1570 0.5000 0.3037

Peak list (10 most intense, 10° ≤ 2θ ≤ 90°, by angle)
d/Å	Rel. int.	(hkl)
4.414	65	1 1 -1
4.001	43	1 1 1
3.486	53	0 2 0
3.366	100	3 1 -1
3.067	38	2 2 0
2.601	75	2 2 1
2.594	37	4 0 1
2.508	41	1 1 2
2.368	36	4 2 0
2.207	59	2 2 -2


Entry 8:
This entry pairs a crystal structure of RbPaO3 with its theoretical powder X-ray diffraction pattern. Radiation: CuKα. Structure: a GGA-PBE-relaxed structure.
Kinematic intensities with the Lorentz-polarization factor, no thermal factor.

Structural model:
Lattice parameters (Å, degrees): 4.4105 4.4105 4.4105 90.00 90.00 90.00
Space group Pm-3m (No. 221)
Asymmetric unit:
Rb: 0.0000 0.0000 0.0000
Pa: 0.5000 0.5000 0.5000
O: 0.0000 0.5000 0.5000

Peak list (10 most intense, 10° ≤ 2θ ≤ 90°, by angle)
d/Å	Rel. int.	(hkl)
4.410	32	1 0 0
3.119	100	1 1 0
2.205	29	2 0 0
1.972	16	2 1 0
1.801	43	2 1 1
1.559	19	2 2 0
1.470	8	3 0 0
1.395	19	3 1 0
1.273	6	2 2 2
1.179	23	3 2 1


Entry 9:
This entry pairs a crystal structure of LiHg2Os with its theoretical powder X-ray diffraction pattern. Radiation: CuKα. Structure: a GGA-PBE-relaxed structure.
Kinematic intensities with the Lorentz-polarization factor, no thermal factor.

Structural model:
Lattice parameters (Å, degrees): 6.5523 6.5523 6.5523 90.00 90.00 90.00
Space group F-43m (No. 216)
Asymmetric unit:
Li: 0.0000 0.0000 0.0000
Hg: 0.0000 0.0000 0.5000
Hg: 0.2500 0.2500 0.2500
Os: 0.2500 0.2500 0.7500

Peak list (10 most intense, 10° ≤ 2θ ≤ 90°, by angle)
d/Å	Rel. int.	(hkl)
3.783	26	1 1 1
3.276	12	2 0 0
2.317	100	2 2 0
1.976	14	3 1 1
1.638	17	4 0 0
1.503	6	3 3 1
1.465	4	4 2 0
1.337	36	4 2 2
1.158	12	4 4 0
1.108	5	5 3 1


Entry 10:
This entry pairs a crystal structure of LiTiP4O12 with its theoretical powder X-ray diffraction pattern. Radiation: CuKα. Structure: a GGA-PBE-relaxed structure.
Kinematic intensities with the Lorentz-polarization factor, no thermal factor.

Structural model:
Lattice parameters (Å, degrees): 8.1732 11.5102 9.8190 90.00 93.31 90.00
Space group C2/c (No. 15)
Asymmetric unit:
Li: 0.0000 0.1564 0.2500
Ti: 0.0000 0.1133 0.7500
P: 0.0378 0.3147 0.5242
P: 0.2448 0.0329 0.0389
O: 0.0198 0.2619 0.1071
O: 0.1075 0.3860 0.9075
O: 0.1094 0.2384 0.6380
O: 0.1445 0.0157 0.1613
O: 0.1580 0.0837 0.9130
O: 0.1708 0.4155 0.5046

Peak list (10 most intense, 10° ≤ 2θ ≤ 90°, by angle)
d/Å	Rel. int.	(hkl)
5.631	32	1 1 -1
5.390	33	1 1 1
4.901	74	0 0 2
3.861	100	1 1 2
3.472	19	1 3 0
3.328	94	2 2 0
3.298	55	1 3 -1
3.198	23	2 2 -1
2.867	39	1 3 -2
2.816	47	2 2 -2